1.
Computed X-ray powder pattern of K2RuO4 for Cu Kα, 1.54184 Å, from a PBE-relaxed structure.

Largest 8 diffraction maxima, in order of rising 2θ, 2θ from 10° to 80°:
19.46 deg, intensity 72; 19.98 deg, intensity 56; 22.00 deg, intensity 34; 27.34 deg, intensity 88; 27.59 deg, intensity 64; 28.71 deg, intensity 100; 39.52 deg, intensity 27; 49.49 deg, intensity 22

Cell: 8.0810 6.4655 10.6393 Å, 90.00 90.00 90.00°
Atoms (fractional coordinates):
K1 0.0104 0.2500 0.2243
K2 0.1900 0.2500 0.5695
K3 0.3100 0.7500 0.0695
K4 0.4896 0.7500 0.7243
K5 0.5104 0.2500 0.2757
K6 0.6900 0.2500 0.9305
K7 0.8100 0.7500 0.4305
K8 0.9896 0.7500 0.7757
Ru1 0.2182 0.2500 0.9037
Ru2 0.2818 0.7500 0.4037
Ru3 0.7182 0.2500 0.5963
Ru4 0.7818 0.7500 0.0963
O1 0.0137 0.2500 0.9664
O2 0.1314 0.7500 0.5291
O3 0.2504 0.0253 0.8060
O4 0.2504 0.4747 0.8060
O5 0.2496 0.5253 0.3060
O6 0.2496 0.9747 0.3060
O7 0.3686 0.2500 0.0291
O8 0.4863 0.7500 0.4664
O9 0.5137 0.2500 0.5336
O10 0.6314 0.7500 0.9709
O11 0.7504 0.0253 0.6940
O12 0.7504 0.4747 0.6940
O13 0.7496 0.5253 0.1940
O14 0.7496 0.9747 0.1940
O15 0.8686 0.2500 0.4709
O16 0.9863 0.7500 0.0336


2.
Computed X-ray powder pattern of MgAl2 for Cu Kα, 1.54184 Å, from a PBE-relaxed structure.

Largest 8 diffraction maxima, in order of rising 2θ, 2θ from 10° to 80°:
36.60 deg, intensity 100; 38.38 deg, intensity 28; 43.04 deg, intensity 62; 61.28 deg, intensity 21; 63.73 deg, intensity 18; 73.53 deg, intensity 12; 74.66 deg, intensity 22; 77.79 deg, intensity 10

Cell: 3.0256 3.0256 7.0357 Å, 90.00 90.00 120.00°
Atoms (fractional coordinates):
Mg1 0.0000 0.0000 0.0000
Al1 0.3333 0.6667 0.6533
Al2 0.6667 0.3333 0.3467


3.
Computed X-ray powder pattern of Ga8Cu3W2 for Cu Kα, 1.54184 Å, from a PBE-relaxed structure.

Largest 8 diffraction maxima, in order of rising 2θ, 2θ from 10° to 80°:
18.05 deg, intensity 17; 20.87 deg, intensity 49; 36.57 deg, intensity 15; 38.12 deg, intensity 15; 41.07 deg, intensity 15; 42.48 deg, intensity 100; 43.86 deg, intensity 17; 77.73 deg, intensity 18

Cell: 10.4243 10.4243 10.4243 Å, 109.47 109.47 109.47°
Atoms (fractional coordinates):
Ga1 0.0000 0.2100 0.5000
Ga2 0.0000 0.7100 0.5000
Ga3 0.0006 0.7674 0.0105
Ga4 0.0100 0.9994 0.2669
Ga5 0.0105 0.0006 0.7674
Ga6 0.2100 0.5000 0.0000
Ga7 0.2331 0.2326 0.7431
Ga8 0.2326 0.7431 0.2331
Ga9 0.2431 0.7326 0.7331
Ga10 0.2569 0.9900 0.4895
Ga11 0.2669 0.0100 0.9994
Ga12 0.2674 0.5006 0.5105
Ga13 0.2900 0.2900 0.2900
Ga14 0.4895 0.2569 0.9900
Ga15 0.4900 0.7569 0.9895
Ga16 0.4994 0.5100 0.7669
Ga17 0.5000 0.0000 0.2100
Ga18 0.5000 0.0000 0.7100
Ga19 0.5006 0.5105 0.2674
Ga20 0.5100 0.7669 0.4994
Ga21 0.5105 0.2674 0.5006
Ga22 0.7100 0.5000 0.0000
Ga23 0.7331 0.2431 0.7326
Ga24 0.7326 0.7331 0.2431
Ga25 0.7431 0.2331 0.2326
Ga26 0.7569 0.9895 0.4900
Ga27 0.7674 0.0105 0.0006
Ga28 0.7669 0.4994 0.5100
Ga29 0.7900 0.7900 0.7900
Ga30 0.9895 0.4900 0.7569
Ga31 0.9900 0.4895 0.2569
Ga32 0.9994 0.2669 0.0100
Cu1 0.0180 0.2500 0.2680
Cu2 0.2320 0.4820 0.7500
Cu3 0.2500 0.2680 0.0180
Cu4 0.2500 0.9820 0.7320
Cu5 0.2680 0.0180 0.2500
Cu6 0.4820 0.7500 0.2320
Cu7 0.5180 0.7680 0.7500
Cu8 0.7320 0.2500 0.9820
Cu9 0.7500 0.2320 0.4820
Cu10 0.7500 0.5180 0.7680
Cu11 0.7680 0.7500 0.5180
Cu12 0.9820 0.7320 0.2500
W1 0.0000 0.4579 0.5000
W2 0.0000 0.9579 0.5000
W3 0.0421 0.0421 0.0421
W4 0.4579 0.5000 0.0000
W5 0.5000 0.0000 0.4579
W6 0.5000 0.0000 0.9579
W7 0.5421 0.5421 0.5421
W8 0.9579 0.5000 0.0000


4.
Computed X-ray powder pattern of Li6FeCl8 for Cu Kα, 1.54184 Å, from a PBE-relaxed structure.

Largest 8 diffraction maxima, in order of rising 2θ, 2θ from 10° to 80°:
14.87 deg, intensity 44; 17.18 deg, intensity 10; 28.68 deg, intensity 15; 29.99 deg, intensity 57; 34.76 deg, intensity 100; 49.98 deg, intensity 62; 59.39 deg, intensity 16; 62.32 deg, intensity 20

Cell: 7.2989 7.2989 7.2989 Å, 60.00 60.00 60.00°
Atoms (fractional coordinates):
Li1 0.0000 0.0000 0.5000
Li2 0.0000 0.5000 0.0000
Li3 0.0000 0.5000 0.5000
Li4 0.5000 0.0000 0.0000
Li5 0.5000 0.0000 0.5000
Li6 0.5000 0.5000 0.0000
Fe1 0.0000 0.0000 0.0000
Cl1 0.2401 0.2401 0.7599
Cl2 0.2401 0.7599 0.2401
Cl3 0.2401 0.7599 0.7599
Cl4 0.2500 0.2500 0.2500
Cl5 0.7500 0.7500 0.7500
Cl6 0.7599 0.2401 0.2401
Cl7 0.7599 0.2401 0.7599
Cl8 0.7599 0.7599 0.2401